Computed X-ray powder pattern of Er6Ga2Bi for CuKα, from DFT lattice parameters and positions (GGA-PBE).
Peak positions follow from Bragg's law for the DFT cell and can differ from measured ones.

Principal peaks in the range 10° ≤ 2θ ≤ 80°, sorted by position:
Position (°2θ)	I (rel.)
29.43	30.1
31.35	100.0
32.73	28.4
34.23	42.4
34.97	26.2
37.45	22.2

Structure:
a = 8.6057 Å, b = 8.6057 Å, c = 8.6057 Å
α = 113.00°, β = 112.15°, γ = 103.43°
Atoms (fractional coordinates):
Er  0.0191  0.8194  0.1997
Er  0.2411  0.5341  0.2931
Er  0.2411  0.9480  0.7069
Er  0.2795  0.3144  0.5938
Er  0.2795  0.6856  0.9651
Er  0.3803  0.1806  0.1997
Er  0.6197  0.8194  0.8003
Er  0.7205  0.3144  0.0349
Er  0.7205  0.6856  0.4062
Er  0.7589  0.0520  0.2931
Er  0.7589  0.4659  0.7069
Er  0.9809  0.1806  0.8003
Ga  0.0000  0.1436  0.1436
Ga  0.0000  0.8564  0.8564
Ga  0.3809  0.3809  0.0000
Ga  0.6191  0.6191  0.0000
Bi  0.0000  0.5000  0.5000
Bi  0.5000  0.0000  0.5000



Computed X-ray powder pattern of Er3GaBi for CuKα, from DFT lattice parameters and positions (GGA-PBE).
Peak positions follow from Bragg's law for the DFT cell and can differ from measured ones.

Principal peaks in the range 10° ≤ 2θ ≤ 80°, sorted by position:
Position (°2θ)	I (rel.)
28.58	36.3
29.78	33.4
32.15	100.0
32.29	47.3
32.71	41.0
34.31	43.8

Structure:
a = 9.2214 Å, b = 9.2214 Å, c = 6.7631 Å
α = 97.15°, β = 97.15°, γ = 92.94°
Atoms (fractional coordinates):
Er  0.0598  0.7541  0.9470
Er  0.1753  0.5605  0.3628
Er  0.2459  0.9402  0.5530
Er  0.2544  0.4029  0.9040
Er  0.4029  0.2544  0.4040
Er  0.4395  0.8247  0.1372
Er  0.5605  0.1753  0.8628
Er  0.5971  0.7456  0.5960
Er  0.7456  0.5971  0.0960
Er  0.7541  0.0598  0.4470
Er  0.8247  0.4395  0.6372
Er  0.9402  0.2459  0.0530
Ga  0.3211  0.6789  0.7500
Ga  0.4778  0.5222  0.2500
Ga  0.5222  0.4778  0.7500
Ga  0.6789  0.3211  0.2500
Bi  0.0696  0.2361  0.5129
Bi  0.2361  0.0696  0.0129
Bi  0.7639  0.9304  0.9871
Bi  0.9304  0.7639  0.4871



Computed X-ray powder pattern of Er8Ga3Bi2 for CuKα, from DFT lattice parameters and positions (GGA-PBE).
Peak positions follow from Bragg's law for the DFT cell and can differ from measured ones.

Principal peaks in the range 10° ≤ 2θ ≤ 80°, sorted by position:
Position (°2θ)	I (rel.)
35.00	100.0
35.93	27.8
36.36	24.2
52.05	19.9
63.98	17.6
64.55	17.1

Structure:
a = 9.0118 Å, b = 9.0118 Å, c = 4.9412 Å
α = 90.00°, β = 90.00°, γ = 112.62°
Atoms (fractional coordinates):
Er  0.1104  0.8896  0.0000
Er  0.1434  0.3717  0.5000
Er  0.3717  0.1434  0.5000
Er  0.3828  0.6172  0.0000
Er  0.6172  0.3828  0.0000
Er  0.6283  0.8566  0.5000
Er  0.8566  0.6283  0.5000
Er  0.8896  0.1104  0.0000
Ga  0.2419  0.2419  0.0000
Ga  0.5000  0.5000  0.5000
Ga  0.7581  0.7581  0.0000
Bi  0.2402  0.7598  0.5000
Bi  0.7598  0.2402  0.5000



Computed X-ray powder pattern of Er5GaBi4 for CuKα, from DFT lattice parameters and positions (GGA-PBE).
Peak positions follow from Bragg's law for the DFT cell and can differ from measured ones.

Principal peaks in the range 10° ≤ 2θ ≤ 80°, sorted by position:
Position (°2θ)	I (rel.)
28.74	100.0
41.10	77.0
50.93	27.4
59.53	12.8
67.43	35.2
74.89	25.9

Structure:
a = 7.6065 Å, b = 7.6065 Å, c = 7.6065 Å
α = 99.61°, β = 99.61°, γ = 131.78°
Atoms (fractional coordinates):
Er  0.0000  0.0000  0.0000
Er  0.2114  0.6002  0.8116
Er  0.3998  0.2114  0.6113
Er  0.6002  0.7886  0.3887
Er  0.7886  0.3998  0.1884
Ga  0.5000  0.5000  0.0000
Bi  0.0938  0.3028  0.3966
Bi  0.3028  0.9062  0.2090
Bi  0.6972  0.0938  0.7910
Bi  0.9062  0.6972  0.6034



Computed X-ray powder pattern of Er4Ga2Bi for CuKα, from DFT lattice parameters and positions (GGA-PBE).
Peak positions follow from Bragg's law for the DFT cell and can differ from measured ones.

Principal peaks in the range 10° ≤ 2θ ≤ 80°, sorted by position:
Position (°2θ)	I (rel.)
18.97	46.4
26.97	37.5
30.22	63.8
30.34	89.2
35.93	100.0
45.50	34.2

Structure:
a = 8.0973 Å, b = 8.0973 Å, c = 8.0803 Å
α = 109.32°, β = 109.32°, γ = 109.79°
Atoms (fractional coordinates):
Er  0.1276  0.6999  0.9286
Er  0.2290  0.3010  0.4287
Er  0.3001  0.8724  0.5714
Er  0.3010  0.2290  0.9287
Er  0.6990  0.7710  0.0713
Er  0.6999  0.1276  0.4286
Er  0.7710  0.6990  0.5713
Er  0.8724  0.3001  0.0714
Ga  0.0000  0.0000  0.0000
Ga  0.0000  0.0000  0.5000
Ga  0.0000  0.5000  0.5000
Ga  0.5000  0.0000  0.0000
Bi  0.3751  0.6249  0.2500
Bi  0.6249  0.3751  0.7500



Computed X-ray powder pattern of Er4GaBiSe2 for CuKα, from DFT lattice parameters and positions (GGA-PBE).
Peak positions follow from Bragg's law for the DFT cell and can differ from measured ones.

Principal peaks in the range 10° ≤ 2θ ≤ 80°, sorted by position:
Position (°2θ)	I (rel.)
30.09	50.5
30.28	100.0
42.50	19.5
43.15	36.9
43.27	38.2
54.38	19.3

Structure:
a = 7.2934 Å, b = 4.0997 Å, c = 7.3189 Å
α = 90.00°, β = 108.78°, γ = 90.00°
Atoms (fractional coordinates):
Er  0.2455  0.0000  0.2308
Er  0.2498  0.5000  0.7594
Er  0.7502  0.5000  0.2406
Er  0.7545  0.0000  0.7692
Ga  0.5000  0.0000  0.0000
Bi  0.5000  0.5000  0.5000
Se  0.0000  0.0000  0.5000
Se  0.0000  0.5000  0.0000



Computed X-ray powder pattern of Er5Ge2Bi2 for CuKα, from DFT lattice parameters and positions (GGA-PBE).
Peak positions follow from Bragg's law for the DFT cell and can differ from measured ones.

Principal peaks in the range 10° ≤ 2θ ≤ 80°, sorted by position:
Position (°2θ)	I (rel.)
30.69	42.7
31.87	47.0
32.55	64.5
33.42	70.6
34.52	57.8
36.25	100.0

Structure:
a = 8.5981 Å, b = 8.5981 Å, c = 7.9512 Å
α = 90.00°, β = 90.00°, γ = 54.95°
Atoms (fractional coordinates):
Er  0.0000  0.0000  0.0000
Er  0.0380  0.7170  0.6607
Er  0.2170  0.5380  0.1607
Er  0.2830  0.9620  0.6607
Er  0.4620  0.7830  0.1607
Er  0.5000  0.5000  0.5000
Er  0.5380  0.2170  0.8393
Er  0.7170  0.0380  0.3393
Er  0.7830  0.4620  0.8393
Er  0.9620  0.2830  0.3393
Ge  0.1431  0.8569  0.3584
Ge  0.3569  0.6431  0.8584
Ge  0.6431  0.3569  0.1416
Ge  0.8569  0.1431  0.6416
Bi  0.2061  0.2061  0.0000
Bi  0.2939  0.2939  0.5000
Bi  0.7061  0.7061  0.5000
Bi  0.7939  0.7939  0.0000



Computed X-ray powder pattern of Er4Bi3H2 for CuKα, from DFT lattice parameters and positions (GGA-PBE).
Peak positions follow from Bragg's law for the DFT cell and can differ from measured ones.

Principal peaks in the range 10° ≤ 2θ ≤ 80°, sorted by position:
Position (°2θ)	I (rel.)
28.97	63.8
31.32	100.0
34.66	67.1
35.25	55.9
35.84	54.7
36.62	59.5

Structure:
a = 7.8900 Å, b = 7.8900 Å, c = 7.3946 Å
α = 99.11°, β = 99.11°, γ = 77.51°
Atoms (fractional coordinates):
Er  0.0721  0.7040  0.9936
Er  0.2734  0.3906  0.3783
Er  0.2960  0.9279  0.5064
Er  0.3906  0.2734  0.8783
Er  0.6094  0.7266  0.1217
Er  0.7040  0.0721  0.4936
Er  0.7266  0.6094  0.6217
Er  0.9279  0.2960  0.0064
Bi  0.0268  0.2690  0.6151
Bi  0.2690  0.0268  0.1151
Bi  0.3751  0.6249  0.7500
Bi  0.6249  0.3751  0.2500
Bi  0.7310  0.9732  0.8849
Bi  0.9732  0.7310  0.3849
H  0.1702  0.4314  0.0649
H  0.4314  0.1702  0.5649
H  0.5686  0.8298  0.4351
H  0.8298  0.5686  0.9351



Computed X-ray powder pattern of Er3BiH3 for CuKα, from DFT lattice parameters and positions (GGA-PBE).
Peak positions follow from Bragg's law for the DFT cell and can differ from measured ones.

Principal peaks in the range 10° ≤ 2θ ≤ 80°, sorted by position:
Position (°2θ)	I (rel.)
28.81	42.9
32.29	98.4
35.47	100.0
53.29	24.4
55.47	56.4
69.49	22.1

Structure:
a = 6.1985 Å, b = 6.1985 Å, c = 6.1985 Å
α = 90.00°, β = 90.00°, γ = 90.00°
Atoms (fractional coordinates):
Er  0.0000  0.2500  0.5000
Er  0.0000  0.7500  0.5000
Er  0.2500  0.5000  0.0000
Er  0.5000  0.0000  0.2500
Er  0.5000  0.0000  0.7500
Er  0.7500  0.5000  0.0000
Bi  0.0000  0.0000  0.0000
Bi  0.5000  0.5000  0.5000
H  0.0000  0.5000  0.2500
H  0.0000  0.5000  0.7500
H  0.2500  0.0000  0.5000
H  0.5000  0.2500  0.0000
H  0.5000  0.7500  0.0000
H  0.7500  0.0000  0.5000



Computed X-ray powder pattern of Er4Bi3H4 for CuKα, from DFT lattice parameters and positions (GGA-PBE).
Peak positions follow from Bragg's law for the DFT cell and can differ from measured ones.

Principal peaks in the range 10° ≤ 2θ ≤ 80°, sorted by position:
Position (°2θ)	I (rel.)
23.37	27.7
28.88	32.0
32.62	100.0
34.16	33.7
35.65	70.8
43.82	25.9

Structure:
a = 8.2236 Å, b = 8.2236 Å, c = 8.2236 Å
α = 150.90°, β = 124.86°, γ = 63.55°
Atoms (fractional coordinates):
Er  0.2112  0.2112  0.0000
Er  0.2728  0.5000  0.7728
Er  0.7272  0.5000  0.2272
Er  0.7888  0.7888  0.0000
Bi  0.0000  0.0000  0.0000
Bi  0.3775  0.8775  0.5000
Bi  0.6225  0.1225  0.5000
H  0.0006  0.6693  0.3314
H  0.3379  0.6693  0.6686
H  0.6621  0.3307  0.3314
H  0.9994  0.3307  0.6686



Computed X-ray powder pattern of ErBi2H for CuKα, from DFT lattice parameters and positions (GGA-PBE).
Peak positions follow from Bragg's law for the DFT cell and can differ from measured ones.

Principal peaks in the range 10° ≤ 2θ ≤ 80°, sorted by position:
Position (°2θ)	I (rel.)
28.37	38.2
29.35	44.6
31.85	75.1
33.27	100.0
36.82	26.8
51.72	37.5

Structure:
a = 6.1223 Å, b = 3.5348 Å, c = 9.6513 Å
α = 90.00°, β = 102.05°, γ = 90.00°
Atoms (fractional coordinates):
Er  0.0000  0.0000  0.0000
Er  0.5000  0.5000  0.0000
Bi  0.0712  0.5000  0.7099
Bi  0.2618  0.5000  0.2894
Bi  0.5712  0.0000  0.7099
Bi  0.7618  0.0000  0.2894
H  0.3327  0.0000  0.9981
H  0.8327  0.5000  0.9981



Computed X-ray powder pattern of Er6Bi2H for CuKα, from DFT lattice parameters and positions (GGA-PBE).
Peak positions follow from Bragg's law for the DFT cell and can differ from measured ones.

Principal peaks in the range 10° ≤ 2θ ≤ 80°, sorted by position:
Position (°2θ)	I (rel.)
30.27	97.7
31.07	100.0
33.25	51.2
34.78	54.8
34.92	55.2
36.04	52.0

Structure:
a = 6.5935 Å, b = 7.3281 Å, c = 11.9265 Å
α = 90.00°, β = 123.29°, γ = 90.00°
Atoms (fractional coordinates):
Er  0.0719  0.2103  0.4636
Er  0.0719  0.2897  0.9636
Er  0.3521  0.7042  0.4632
Er  0.3521  0.7958  0.9632
Er  0.4057  0.0166  0.2532
Er  0.4057  0.4834  0.7532
Er  0.5943  0.5166  0.2468
Er  0.5943  0.9834  0.7468
Er  0.6479  0.2042  0.0368
Er  0.6479  0.2958  0.5368
Er  0.9281  0.7103  0.0364
Er  0.9281  0.7897  0.5364
Bi  0.1385  0.1148  0.7487
Bi  0.1385  0.3852  0.2487
Bi  0.8615  0.6148  0.7513
Bi  0.8615  0.8852  0.2513
H  0.5000  0.0000  0.5000
H  0.5000  0.5000  0.0000



Computed X-ray powder pattern of Er2Hg3Bi3 for CuKα, from DFT lattice parameters and positions (GGA-PBE).
Peak positions follow from Bragg's law for the DFT cell and can differ from measured ones.

Principal peaks in the range 10° ≤ 2θ ≤ 80°, sorted by position:
Position (°2θ)	I (rel.)
32.62	100.0
35.37	20.4
38.68	15.5
39.37	15.8
61.76	16.7
67.15	13.0

Structure:
a = 4.5769 Å, b = 5.0756 Å, c = 9.3104 Å
α = 90.00°, β = 90.00°, γ = 90.00°
Atoms (fractional coordinates):
Er  0.0000  0.0000  0.2416
Er  0.0000  0.0000  0.7584
Hg  0.0000  0.5000  0.0000
Hg  0.5000  0.5000  0.2372
Hg  0.5000  0.5000  0.7628
Bi  0.0000  0.5000  0.5000
Bi  0.5000  0.0000  0.0000
Bi  0.5000  0.0000  0.5000